# Pr8Ge3PS4
Calculated powder X-ray diffraction pattern, Cu Ka. Input: a crystal structure in Alexandria, relaxed with GGA-PBE.
Kinematic intensities with the Lorentz-polarization factor, no thermal factor.

Cell lengths 8.4505, 8.4505, 20.6532 Å; angles 90.00, 90.00, 120.00 degrees
Space group R-3m (No. 166, hexagonal axes)
Inequivalent atoms, fractional coordinates:
Pr (0.0000, 0.0000, 0.2492) (multiplicity 6)
Pr (0.0024, 0.5012, 0.7492) (multiplicity 18)
Ge (0.0000, 0.5000, 0.0000) (multiplicity 9)
P (0.0000, 0.0000, 0.0000) (multiplicity 3)
S (0.0000, 0.0000, 0.5000) (multiplicity 3)
S (0.0000, 0.5000, 0.5000) (multiplicity 9)

Peak list (6 most intense, 2θ = 10–80°, low angle first)
h k l, 2theta, I/Imax
2 0 2, 25.84, 45
0 2 4, 29.93, 100
2 2 0, 42.84, 74
2 2 6, 50.71, 23
4 0 4, 53.11, 20
2 4 4, 70.54, 33